Record 1
Computed X-ray powder pattern
Compound: Th2Si3Pt3
Radiation: CuKα
Structure: the GGA-PBE geometry in the Materials Project
Lines closer than 0.1° are merged.

Main lines, in order of falling intensity (2θ = 15–90°):
two_theta  I_rel
31.2  100
46.8  55
44.7  38
34.0  33
57.4  31
84.0  21
21.1  18
33.8  17
74.0  17
38.0  17

Atomic structure:
```
8
Lattice="2.8656 0.0000 0.0000 0.0000 2.8656 0.0000 0.0000 0.0000 21.0760" Properties=species:S:1:pos:R:3 pbc="T T T"
Th 0.0000 0.0000 5.1946
Th 0.0000 0.0000 15.8814
Si 0.0000 0.0000 0.0000
Si 0.0000 0.0000 8.1854
Si 0.0000 0.0000 12.8906
Pt 0.0000 0.0000 2.3685
Pt 0.0000 0.0000 10.5380
Pt 0.0000 0.0000 18.7075
```



Record 2
Computed X-ray powder pattern
Compound: ThSiPt
Radiation: CuKα
Structure: the GGA-PBE geometry in the Materials Project
Lines closer than 0.1° are merged.

Main lines, in order of falling intensity (2θ = 15–90°):
two_theta  I_rel
33.1  100
36.1  41
28.6  33
59.8  20
42.4  19
47.4  18
46.0  15
23.2  15
65.5  13
51.9  13

Atomic structure:
```
12
Lattice="3.9485 0.0000 0.0000 0.0000 4.2607 0.0000 0.0000 0.0000 15.3547" Properties=species:S:1:pos:R:3 pbc="T T T"
Th 0.0000 1.0652 1.9568
Th 0.0000 3.1955 13.3978
Th 1.9743 1.0652 5.7205
Th 1.9743 3.1955 9.6342
Si 0.0000 1.0652 10.9032
Si 0.0000 3.1955 4.4514
Si 1.9743 1.0652 12.1288
Si 1.9743 3.1955 3.2259
Pt 0.0000 1.0652 8.5282
Pt 0.0000 3.1955 6.8264
Pt 1.9743 1.0652 14.5038
Pt 1.9743 3.1955 0.8509
```



Record 3
Computed X-ray powder pattern
Compound: TlSiPt5
Radiation: CuKα
Structure: the GGA-PBE geometry in the Materials Project
Lines closer than 0.1° are merged.

Main lines, in order of falling intensity (2θ = 15–90°):
two_theta  I_rel
40.4  100
33.9  55
45.2  48
59.9  29
37.2  29
80.1  28
73.3  21
65.8  16
78.1  14
76.1  11

Atomic structure:
```
7
Lattice="4.0137 0.0000 0.0000 0.0000 4.0137 0.0000 0.0000 0.0000 7.2485" Properties=species:S:1:pos:R:3 pbc="T T T"
Tl 0.0000 0.0000 0.0000
Si 2.0068 2.0068 3.6243
Pt 0.0000 2.0068 2.1822
Pt 0.0000 2.0068 5.0664
Pt 2.0068 0.0000 2.1822
Pt 2.0068 0.0000 5.0664
Pt 2.0068 2.0068 0.0000
```



Record 4
Computed X-ray powder pattern
Compound: Tm2Si3Pt3
Radiation: CuKα
Structure: the GGA-PBE geometry in the Materials Project
Lines closer than 0.1° are merged.

Main lines, in order of falling intensity (2θ = 15–90°):
two_theta  I_rel
31.2  100
48.0  52
44.6  37
35.5  30
58.3  29
84.7  21
33.9  21
22.0  20
38.5  20
73.8  17

Atomic structure:
```
8
Lattice="2.8709 0.0000 0.0000 0.0000 2.8709 0.0000 0.0000 0.0000 20.2214" Properties=species:S:1:pos:R:3 pbc="T T T"
Tm 0.0000 0.0000 4.9783
Tm 0.0000 0.0000 15.2431
Si 0.0000 0.0000 0.0000
Si 0.0000 0.0000 7.7590
Si 0.0000 0.0000 12.4624
Pt 0.0000 0.0000 2.2991
Pt 0.0000 0.0000 10.1107
Pt 0.0000 0.0000 17.9223
```